Mg3ScTl2: simulated powder XRD pattern (λ = 1.5418 Å (Cu Kα)), based on a crystal structure in Alexandria, relaxed with GGA-PBE.

Most intense lines, 15° ≤ 2θ ≤ 90°, in order of falling intensity:
d_spacing, intensity, index
2.630, 100, 1 2 3
2.585, 98, 1 2 -1
3.199, 48, 1 2 2
3.158, 43, 1 -1 1
2.400, 43, 2 1 1
4.256, 42, 1 0 1
3.218, 37, 0 2 2
2.514, 33, 0 3 1
4.498, 27, 1 0 0
3.739, 25, 0 2 1

```
data_Mg3ScTl2
_chemical_formula_sum 'Mg6 Sc2 Tl4'
_space_group_name_H-M_alt 'P 1'
_space_group_IT_number 1
_cell_length_a 4.800
_cell_length_b 7.909
_cell_length_c 8.682
_cell_angle_alpha 67.62
_cell_angle_beta 74.01
_cell_angle_gamma 72.56
loop_
_space_group_symop_operation_xyz
'x,y,z'
loop_
_atom_site_label
_atom_site_fract_x
_atom_site_fract_y
_atom_site_fract_z
Mg1 0.029 0.299 0.143
Mg2 0.275 0.053 0.897
Mg3 0.374 0.622 0.127
Mg4 0.626 0.378 0.873
Mg5 0.725 0.947 0.103
Mg6 0.971 0.701 0.857
Sc1 0.123 0.856 0.397
Sc2 0.877 0.144 0.603
Tl1 0.227 0.420 0.629
Tl2 0.492 0.174 0.343
Tl3 0.508 0.826 0.657
Tl4 0.773 0.580 0.371
```

---

MgSc6Tl: simulated powder XRD pattern (λ = 1.5418 Å (Cu Kα)), based on a crystal structure in Alexandria, relaxed with GGA-PBE.

Most intense lines, 15° ≤ 2θ ≤ 90°, in order of falling intensity:
d_spacing, intensity, index
2.630, 100, 1 1 2
4.066, 37, 1 0 1
2.267, 32, 2 0 0
1.369, 24, 3 1 2
1.614, 21, 2 0 4
3.027, 17, 1 1 1
2.299, 17, 0 0 4
4.534, 14, 1 0 0
3.228, 12, 1 0 2
1.383, 12, 1 1 6

```
data_MgSc6Tl
_chemical_formula_sum 'Mg1 Sc6 Tl1'
_space_group_name_H-M_alt 'P 1'
_space_group_IT_number 1
_cell_length_a 4.534
_cell_length_b 4.534
_cell_length_c 9.194
_cell_angle_alpha 90.00
_cell_angle_beta 90.00
_cell_angle_gamma 90.00
loop_
_space_group_symop_operation_xyz
'x,y,z'
loop_
_atom_site_label
_atom_site_fract_x
_atom_site_fract_y
_atom_site_fract_z
Mg1 0.000 0.000 0.000
Sc1 0.000 0.500 0.253
Sc2 0.000 0.500 0.747
Sc3 0.500 0.000 0.253
Sc4 0.500 0.000 0.747
Sc5 0.500 0.500 0.000
Sc6 0.500 0.500 0.500
Tl1 0.000 0.000 0.500
```